No. 1
Starting from DFT lattice parameters and positions (GGA-PBE), the X-ray powder pattern of Ta3Ru2 was simulated for CuKα.
Peak positions follow from Bragg's law for the DFT cell and can differ from measured ones.

Top 10 peaks for 2θ from 10° to 90°, sorted by position:
- d = 2.352 Å, 2θ 38.26, I = 100, (1 1 5)
- d = 2.318 Å, 2θ 38.85, I = 98, (2 2 0)
- d = 2.276 Å, 2θ 39.60, I = 46, (0 4 0)
- d = 1.899 Å, 2θ 47.90, I = 53, (1 3 5)
- d = 1.480 Å, 2θ 62.78, I = 24, (3 1 5)
- d = 1.458 Å, 2θ 63.83, I = 22, (1 5 5)
- d = 1.345 Å, 2θ 69.96, I = 17, (3 3 5)
- d = 1.322 Å, 2θ 71.35, I = 16, (2 6 0)
- d = 1.307 Å, 2θ 72.26, I = 15, (0 2 10)
- d = 1.218 Å, 2θ 78.57, I = 12, (2 0 10)

```
data_Ta3Ru2
_chemical_formula_sum 'Ta24 Ru16'
_symmetry_space_group_name_H-M 'F d d d'
_symmetry_Int_Tables_number 70
_cell_length_a 5.3863
_cell_length_b 9.1037
_cell_length_c 13.6497
_cell_angle_alpha 90.00
_cell_angle_beta 90.00
_cell_angle_gamma 90.00
loop_
_symmetry_equiv_pos_as_xyz
'x,y,z'
'-x,-y,-z'
'-x+1/4,-y+1/4,z'
'x+1/4,y+1/4,-z'
'x,-y+1/4,-z+1/4'
'-x,y+1/4,z+1/4'
'-x+1/4,y,-z+1/4'
'x+1/4,-y,z+1/4'
'x,y+1/2,z+1/2'
'-x,-y+1/2,-z+1/2'
'-x+1/4,-y+3/4,z+1/2'
'x+1/4,y+3/4,-z+1/2'
'x,-y+3/4,-z+3/4'
'-x,y+3/4,z+3/4'
'-x+1/4,y+1/2,-z+3/4'
'x+1/4,-y+1/2,z+3/4'
'x+1/2,y,z+1/2'
'-x+1/2,-y,-z+1/2'
'-x+3/4,-y+1/4,z+1/2'
'x+3/4,y+1/4,-z+1/2'
'x+1/2,-y+1/4,-z+3/4'
'-x+1/2,y+1/4,z+3/4'
'-x+3/4,y,-z+3/4'
'x+3/4,-y,z+3/4'
'x+1/2,y+1/2,z'
'-x+1/2,-y+1/2,-z'
'-x+3/4,-y+3/4,z'
'x+3/4,y+3/4,-z'
'x+1/2,-y+3/4,-z+1/4'
'-x+1/2,y+3/4,z+1/4'
'-x+3/4,y+1/2,-z+1/4'
'x+3/4,-y+1/2,z+1/4'
loop_
_atom_site_label
_atom_site_fract_x
_atom_site_fract_y
_atom_site_fract_z
Ta1 0.1250 0.1250 0.0192
Ta2 0.1250 0.1250 0.6250
Ru1 0.1250 0.1250 0.4214
```



No. 2
Starting from DFT lattice parameters and positions (GGA-PBE), the X-ray powder pattern of HoEr3Al was simulated for CuKα.
Peak positions follow from Bragg's law for the DFT cell and can differ from measured ones.

Top 10 peaks for 2θ from 10° to 90°, sorted by position:
- d = 3.314 Å, 2θ 26.90, I = 27, (1 1 -1)
- d = 3.071 Å, 2θ 29.08, I = 24, (0 0 4)
- d = 3.020 Å, 2θ 29.58, I = 19, (1 1 -2)
- d = 2.942 Å, 2θ 30.38, I = 19, (4 0 -2)
- d = 2.871 Å, 2θ 31.15, I = 35, (2 0 -4)
- d = 2.730 Å, 2θ 32.81, I = 56, (4 0 2)
- d = 2.694 Å, 2θ 33.26, I = 100, (3 1 -1)
- d = 2.594 Å, 2θ 34.58, I = 90, (1 1 3)
- d = 2.069 Å, 2θ 43.75, I = 20, (6 0 -2)
- d = 1.880 Å, 2θ 48.41, I = 21, (3 1 -5)

```
data_HoEr3Al
_chemical_formula_sum 'Ho4 Er12 Al4'
_symmetry_space_group_name_H-M 'C 1 2/m 1'
_symmetry_Int_Tables_number 12
_symmetry_space_group_name_Hall '-C 2y'
_cell_length_a 12.8078
_cell_length_b 3.5501
_cell_length_c 12.3355
_cell_angle_alpha 90.00
_cell_angle_beta 95.25
_cell_angle_gamma 90.00
loop_
_atom_site_label
_atom_site_fract_x
_atom_site_fract_y
_atom_site_fract_z
Ho1 0.2247 0.0000 0.2489
Er1 0.0337 0.0000 0.6940
Er2 0.1355 0.5000 0.4808
Er3 0.1408 0.0000 0.9501
Al1 0.0509 0.5000 0.1227
```